(1)
Diffraction record for Li3Ti6O13. The powder XRD pattern is computed, not measured: it uses a cell relaxed with GGA-PBE and a wavelength of 1.5418 Å.
Neutral-atom scattering factors, no anomalous dispersion.

Crystal structure
```
Li3Ti6O13
1.0
6.020 -1.988 0.000
6.020 1.988 0.000
-1.958 0.000 10.331
Li Ti O
3 6 13
direct
0.000 0.000 0.000
0.069 0.069 0.413
0.931 0.931 0.587
0.282 0.282 0.641
0.342 0.342 0.001
0.402 0.402 0.360
0.598 0.598 0.640
0.658 0.658 0.999
0.718 0.718 0.359
0.107 0.107 0.607
0.171 0.171 0.000
0.238 0.238 0.400
0.316 0.316 0.808
0.378 0.378 0.192
0.432 0.432 0.593
0.500 0.500 0.000
0.568 0.568 0.407
0.622 0.622 0.808
0.684 0.684 0.192
0.762 0.762 0.600
0.829 0.829 0.000
0.893 0.893 0.393
```

Principal peaks in the range 2θ from 15° to 90°, most intense first:
| 2theta | d [Å] | I/Imax |
| --- | --- | --- |
| 25.87 | 3.444 | 100 |
| 23.61 | 3.768 | 94 |
| 31.98 | 2.798 | 65 |
| 45.64 | 1.988 | 58 |
| 45.19 | 2.007 | 54 |
| 43.82 | 2.066 | 35 |
| 17.17 | 5.165 | 35 |
| 53.21 | 1.722 | 28 |
| 66.17 | 1.412 | 28 |
| 29.84 | 2.995 | 28 |
| 59.15 | 1.562 | 19 |
| 65.12 | 1.432 | 17 |

=====

(2)
Diffraction record for Li7Ti11O24. The powder XRD pattern is computed, not measured: it uses a cell relaxed with GGA-PBE and a wavelength of 1.5418 Å.
Neutral-atom scattering factors, no anomalous dispersion.

Crystal structure
```
Li7Ti11O24
1.0
5.085 0.000 0.000
0.000 8.870 0.000
-0.052 0.000 9.736
Li Ti O
7 11 24
direct
0.000 0.000 0.000
0.003 0.332 0.997
0.003 0.668 0.997
0.377 0.340 0.504
0.377 0.660 0.504
0.384 0.000 0.500
0.916 0.500 0.612
0.416 0.000 0.824
0.427 0.334 0.818
0.427 0.666 0.818
0.459 0.500 0.106
0.464 0.170 0.106
0.464 0.830 0.106
0.919 0.176 0.605
0.919 0.824 0.605
0.954 0.337 0.331
0.954 0.663 0.331
0.959 0.000 0.324
0.147 0.000 0.677
0.157 0.167 0.428
0.157 0.833 0.428
0.159 0.318 0.679
0.159 0.682 0.679
0.165 0.500 0.414
0.228 0.165 0.930
0.228 0.835 0.930
0.231 0.330 0.175
0.231 0.670 0.175
0.232 0.500 0.928
0.239 0.000 0.181
0.609 0.500 0.741
0.632 0.000 0.999
0.636 0.331 0.998
0.636 0.669 0.998
0.640 0.164 0.740
0.640 0.836 0.740
0.744 0.322 0.493
0.744 0.678 0.493
0.750 0.500 0.236
0.753 0.163 0.237
0.753 0.837 0.237
0.756 0.000 0.499
```

Principal peaks in the range 2θ from 15° to 90°, most intense first:
| 2theta | d [Å] | I/Imax |
| --- | --- | --- |
| 19.70 | 4.508 | 100 |
| 36.34 | 2.472 | 31 |
| 39.82 | 2.264 | 24 |
| 32.65 | 2.742 | 21 |
| 32.82 | 2.729 | 20 |
| 50.88 | 1.795 | 18 |
| 35.52 | 2.527 | 17 |
| 51.03 | 1.790 | 17 |
| 64.04 | 1.454 | 13 |
| 65.63 | 1.423 | 12 |
| 51.86 | 1.763 | 10 |
| 52.16 | 1.753 | 9 |

=====

(3)
Diffraction record for Li4Ti3O8. The powder XRD pattern is computed, not measured: it uses a cell relaxed with GGA-PBE and a wavelength of 1.5418 Å.
Neutral-atom scattering factors, no anomalous dispersion.

Crystal structure
```
Li4Ti3O8
1.0
5.098 -2.980 0.000
5.098 2.980 0.000
-3.521 0.000 4.868
Li Ti O
4 3 8
direct
0.000 0.000 0.000
0.000 0.500 0.000
0.500 0.000 0.000
0.500 0.500 0.500
0.000 0.000 0.500
0.000 0.500 0.500
0.500 0.000 0.500
0.216 0.755 0.715
0.243 0.243 0.726
0.245 0.784 0.285
0.250 0.250 0.281
0.750 0.750 0.719
0.755 0.216 0.715
0.757 0.757 0.274
0.784 0.245 0.285
```

Principal peaks in the range 2θ from 15° to 90°, most intense first:
| 2theta | d [Å] | I/Imax |
| --- | --- | --- |
| 18.23 | 4.866 | 100 |
| 42.75 | 2.115 | 58 |
| 43.83 | 2.065 | 27 |
| 18.36 | 4.833 | 24 |
| 35.35 | 2.539 | 21 |
| 62.98 | 1.476 | 15 |
| 62.79 | 1.480 | 14 |
| 35.92 | 2.500 | 13 |
| 56.44 | 1.630 | 10 |
| 21.00 | 4.231 | 8 |
| 62.33 | 1.490 | 8 |
| 61.77 | 1.502 | 7 |

=====

(4)
Diffraction record for Li7Ti11O24. The powder XRD pattern is computed, not measured: it uses a cell relaxed with GGA-PBE and a wavelength of 1.5418 Å.
Neutral-atom scattering factors, no anomalous dispersion.

Crystal structure
```
Li7Ti11O24
1.0
5.167 -8.963 0.000
5.167 8.963 0.000
-3.436 0.000 4.876
Li Ti O
7 11 24
direct
0.000 0.000 0.000
0.042 0.712 0.623
0.288 0.958 0.377
0.376 0.376 0.624
0.624 0.624 0.376
0.712 0.042 0.623
0.958 0.288 0.377
0.000 0.000 0.500
0.000 0.500 0.000
0.157 0.321 0.999
0.321 0.157 0.999
0.334 0.666 0.000
0.334 0.666 0.500
0.500 0.000 0.000
0.666 0.334 0.000
0.666 0.334 0.500
0.679 0.843 0.001
0.843 0.679 0.001
0.059 0.905 0.246
0.095 0.428 0.238
0.095 0.941 0.754
0.097 0.431 0.791
0.237 0.237 0.761
0.245 0.729 0.238
0.251 0.251 0.216
0.271 0.755 0.762
0.394 0.580 0.237
0.420 0.606 0.763
0.428 0.095 0.238
0.431 0.097 0.791
0.569 0.903 0.209
0.572 0.905 0.762
0.580 0.394 0.237
0.606 0.420 0.763
0.729 0.245 0.238
0.749 0.749 0.784
0.755 0.271 0.762
0.763 0.763 0.239
0.903 0.569 0.209
0.905 0.059 0.246
0.905 0.572 0.762
0.941 0.095 0.754
```

Principal peaks in the range 2θ from 15° to 90°, most intense first:
| 2theta | d [Å] | I/Imax |
| --- | --- | --- |
| 18.20 | 4.874 | 100 |
| 42.84 | 2.111 | 61 |
| 35.25 | 2.546 | 44 |
| 62.17 | 1.493 | 30 |
| 56.64 | 1.625 | 20 |
| 65.36 | 1.428 | 11 |
| 46.90 | 1.937 | 7 |
| 78.43 | 1.219 | 7 |
| 62.26 | 1.491 | 6 |
| 81.34 | 1.183 | 4 |
| 89.00 | 1.100 | 4 |
| 36.87 | 2.438 | 4 |

=====

(5)
Diffraction record for LiTi3O4. The powder XRD pattern is computed, not measured: it uses a cell relaxed with GGA-PBE and a wavelength of 1.5418 Å.
Neutral-atom scattering factors, no anomalous dispersion.

Crystal structure
```
LiTi3O4
1.0
2.983 0.000 0.000
0.005 5.169 0.000
0.008 1.720 4.879
Li Ti O
1 3 4
direct
0.000 0.000 0.000
0.500 0.502 0.967
0.500 0.968 0.500
0.999 0.516 0.515
0.000 0.245 0.242
0.000 0.770 0.768
0.500 0.243 0.733
0.500 0.734 0.241
```

Principal peaks in the range 2θ from 15° to 90°, most intense first:
| 2theta | d [Å] | I/Imax |
| --- | --- | --- |
| 42.85 | 2.111 | 100 |
| 62.18 | 1.493 | 34 |
| 36.88 | 2.437 | 31 |
| 18.19 | 4.877 | 31 |
| 62.25 | 1.491 | 18 |
| 35.27 | 2.545 | 14 |
| 21.05 | 4.221 | 12 |
| 78.45 | 1.219 | 11 |
| 53.15 | 1.723 | 9 |
| 56.63 | 1.625 | 8 |
| 29.93 | 2.985 | 8 |
| 46.90 | 1.937 | 7 |